Entry 1:
Starting from a cell relaxed with GGA-PBE, the PXRD pattern of CeHo was computed for Cu Kα X-rays.
No peak broadening, texture or thermal motion is included.

Atomic structure:
```
CeHo
1.0
3.971 0.000 0.000
0.000 3.971 0.000
0.000 0.000 3.971
Ce Ho
1 1
Cartesian
0.000 0.000 0.000
1.986 1.986 1.986
```

Principal peaks in the range 10° ≤ 2θ ≤ 90°, in order of falling intensity:
hkl 1 1 0, d 2.808, rel. 100
hkl 2 1 1, d 1.621, rel. 39
hkl 2 0 0, d 1.986, rel. 18
hkl 3 1 0, d 1.256, rel. 17
hkl 2 2 0, d 1.404, rel. 12
hkl 2 2 2, d 1.146, rel. 4
hkl 1 0 0, d 3.971, rel. 1

***

Entry 2:
Starting from a cell relaxed with GGA-PBE, the PXRD pattern of Ce2Ho was computed for Cu Kα X-rays.
No peak broadening, texture or thermal motion is included.

Atomic structure:
```
Ce2Ho
1.0
3.423 0.000 0.000
0.000 3.423 0.000
0.000 0.000 14.676
Ce Ho
4 2
Cartesian
0.000 0.000 2.534
0.000 0.000 12.142
1.711 1.711 4.804
1.711 1.711 9.872
0.000 0.000 7.338
1.711 1.711 0.000
```

Principal peaks in the range 10° ≤ 2θ ≤ 90°, in order of falling intensity:
hkl 1 0 3, d 2.804, rel. 100
hkl 1 1 0, d 2.420, rel. 33
hkl 2 1 3, d 1.461, rel. 28
hkl 1 1 6, d 1.720, rel. 23
hkl 0 0 6, d 2.446, rel. 17
hkl 1 0 9, d 1.472, rel. 13
hkl 2 0 0, d 1.711, rel. 12
hkl 2 0 6, d 1.402, rel. 12
hkl 2 1 9, d 1.116, rel. 11
hkl 3 0 3, d 1.111, rel. 6
hkl 1 1 12, d 1.092, rel. 5
hkl 2 2 0, d 1.210, rel. 4

***

Entry 3:
Starting from a cell relaxed with GGA-PBE, the PXRD pattern of CeHo3In2 was computed for Cu Kα X-rays.
No peak broadening, texture or thermal motion is included.

Atomic structure:
```
CeHo3In2
1.0
4.851 0.000 0.000
0.000 15.255 0.000
0.000 0.000 4.474
Ce Ho In
2 6 4
Cartesian
0.000 0.000 0.000
2.425 7.627 0.000
0.000 2.621 2.237
0.000 7.627 2.237
0.000 12.634 2.237
2.425 0.000 2.237
2.425 5.007 2.237
2.425 10.248 2.237
0.000 5.195 0.000
0.000 10.060 0.000
2.425 2.433 0.000
2.425 12.822 0.000
```

Principal peaks in the range 10° ≤ 2θ ≤ 90°, in order of falling intensity:
hkl 1 3 1, d 2.761, rel. 100
hkl 0 6 0, d 2.542, rel. 19
hkl 2 0 0, d 2.425, rel. 18
hkl 1 9 1, d 1.507, rel. 15
hkl 3 3 1, d 1.457, rel. 14
hkl 0 0 2, d 2.237, rel. 14
hkl 2 6 0, d 1.755, rel. 13
hkl 1 3 3, d 1.373, rel. 11
hkl 2 6 2, d 1.381, rel. 11
hkl 0 6 2, d 1.679, rel. 11
hkl 2 0 2, d 1.644, rel. 11
hkl 3 9 1, d 1.132, rel. 6